Entry 1:
Computed powder diffractogram
Compound: CaCd
Radiation: Cu Kα X-rays
Structure: a cell relaxed with PBE
Neutral-atom scattering factors, no anomalous dispersion.

Crystal structure
a b c (Å): 11.9369 3.6367 5.6097
angles (deg): 90.00 108.62 90.00
Element x y z (fractional)
Ca  0.1033  0.0000  0.3208
Ca  0.3967  0.5000  0.6792
Ca  0.6033  0.5000  0.3208
Ca  0.8967  0.0000  0.6792
Cd  0.1465  0.5000  0.8488
Cd  0.3535  0.0000  0.1512
Cd  0.6465  0.0000  0.8488
Cd  0.8535  0.5000  0.1512

Principal peaks in the range 5° ≤ 2θ ≤ 70°, by intensity:
2θ/deg  I (rel.)
32.2  100
34.7  68
18.9  45
31.6  41
32.3  38
34.3  30

Entry 2:
Computed powder diffractogram
Compound: Cu5F8
Radiation: Cu Kα X-rays
Structure: a cell relaxed with PBE
Neutral-atom scattering factors, no anomalous dispersion.

Crystal structure
a b c (Å): 5.8046 5.8046 7.3565
angles (deg): 122.70 122.70 65.91
Element x y z (fractional)
Cu  0.0000  0.0000  0.0000
Cu  0.2433  0.7567  0.5000
Cu  0.3141  0.3141  0.0088
Cu  0.6859  0.6859  0.9912
Cu  0.7567  0.2433  0.5000
F  0.1655  0.7280  0.1366
F  0.1811  0.1811  0.6610
F  0.2720  0.8345  0.8634
F  0.3386  0.3386  0.3112
F  0.6614  0.6614  0.6888
F  0.7280  0.1655  0.1366
F  0.8189  0.8189  0.3390
F  0.8345  0.2720  0.8634

Principal peaks in the range 5° ≤ 2θ ≤ 70°, by intensity:
2θ/deg  I (rel.)
18.2  100
31.8  97
37.3  84
32.5  75
57.1  44
49.7  32

Entry 3:
Computed powder diffractogram
Compound: LiYBe17
Radiation: Cu Kα X-rays
Structure: a cell relaxed with PBE
Neutral-atom scattering factors, no anomalous dispersion.

Crystal structure
a b c (Å): 5.7344 5.7344 5.7344
angles (deg): 83.02 83.02 83.02
Element x y z (fractional)
Li  0.0000  0.0000  0.0000
Y  0.6830  0.6830  0.6830
Be  0.0018  0.0018  0.4838
Be  0.0018  0.4838  0.0018
Be  0.0553  0.3361  0.6277
Be  0.0553  0.6277  0.3361
Be  0.1814  0.6799  0.6799
Be  0.2430  0.2430  0.2430
Be  0.3361  0.0553  0.6277
Be  0.3361  0.6277  0.0553
Be  0.3474  0.3474  0.8346
Be  0.3474  0.8346  0.3474
Be  0.4360  0.4360  0.4360
Be  0.4838  0.0018  0.0018
Be  0.6277  0.0553  0.3361
Be  0.6277  0.3361  0.0553
Be  0.6799  0.1814  0.6799
Be  0.6799  0.6799  0.1814
Be  0.8346  0.3474  0.3474

Principal peaks in the range 5° ≤ 2θ ≤ 70°, by intensity:
2θ/deg  I (rel.)
15.7  100
21.0  58
33.9  43
48.3  32
23.4  32
28.3  30

Entry 4:
Computed powder diffractogram
Compound: PmInNi
Radiation: Cu Kα X-rays
Structure: a cell relaxed with PBE
Neutral-atom scattering factors, no anomalous dispersion.

Crystal structure
a b c (Å): 13.2996 3.8103 7.6899
angles (deg): 90.00 90.00 90.00
Element x y z (fractional)
Pm  0.0438  0.0000  0.2264
Pm  0.2500  0.0000  0.8602
Pm  0.4562  0.0000  0.2264
Pm  0.5438  0.0000  0.7736
Pm  0.7500  0.0000  0.1398
Pm  0.9562  0.0000  0.7736
In  0.1226  0.5000  0.5741
In  0.2500  0.5000  0.2019
In  0.3774  0.5000  0.5741
In  0.6226  0.5000  0.4259
In  0.7500  0.5000  0.7981
In  0.8774  0.5000  0.4259
Ni  0.0924  0.5000  0.9451
Ni  0.2500  0.0000  0.4529
Ni  0.4076  0.5000  0.9451
Ni  0.5924  0.5000  0.0549
Ni  0.7500  0.0000  0.5471
Ni  0.9076  0.5000  0.0549

Principal peaks in the range 5° ≤ 2θ ≤ 70°, by intensity:
2θ/deg  I (rel.)
33.1  100
35.8  69
35.7  49
33.8  24
47.7  23
40.7  21

Entry 5:
Computed powder diffractogram
Compound: Er2Zr2Tl3
Radiation: Cu Kα X-rays
Structure: a cell relaxed with PBE
Neutral-atom scattering factors, no anomalous dispersion.

Crystal structure
a b c (Å): 4.6000 23.1464 3.3183
angles (deg): 90.00 90.00 90.00
Element x y z (fractional)
Er  0.0000  0.0738  0.0000
Er  0.0000  0.9262  0.0000
Er  0.5000  0.4262  0.0000
Er  0.5000  0.5738  0.0000
Zr  0.0000  0.2089  0.0000
Zr  0.0000  0.7911  0.0000
Zr  0.5000  0.2911  0.0000
Zr  0.5000  0.7089  0.0000
Tl  0.0000  0.3452  0.5000
Tl  0.0000  0.5000  0.5000
Tl  0.0000  0.6548  0.5000
Tl  0.5000  0.0000  0.5000
Tl  0.5000  0.1548  0.5000
Tl  0.5000  0.8452  0.5000

Principal peaks in the range 5° ≤ 2θ ≤ 70°, by intensity:
2θ/deg  I (rel.)
33.5  100
33.4  96
35.7  55
39.2  35
54.0  34
66.2  27

Entry 6:
Computed powder diffractogram
Compound: LiErUSe4
Radiation: Cu Kα X-rays
Structure: a cell relaxed with PBE
Neutral-atom scattering factors, no anomalous dispersion.

Crystal structure
a b c (Å): 8.2448 8.2448 8.2448
angles (deg): 120.50 119.12 90.34
Element x y z (fractional)
Li  0.3817  0.1317  0.2500
Li  0.6183  0.8683  0.7500
Er  0.0000  0.0000  0.5000
Er  0.0000  0.5000  0.0000
U  0.0000  0.5000  0.5000
U  0.5000  0.5000  0.0000
Se  0.2299  0.7429  0.4870
Se  0.2441  0.2571  0.9870
Se  0.2454  0.2578  0.5124
Se  0.2454  0.7330  0.9876
Se  0.7546  0.2670  0.0124
Se  0.7546  0.7422  0.4876
Se  0.7559  0.7429  0.0130
Se  0.7701  0.2571  0.5130

Principal peaks in the range 5° ≤ 2θ ≤ 70°, by intensity:
2θ/deg  I (rel.)
30.6  100
13.2  83
43.9  76
30.8  49
13.0  48
25.4  42

Entry 7:
Computed powder diffractogram
Compound: GaNi3Sb
Radiation: Cu Kα X-rays
Structure: a cell relaxed with PBE
Neutral-atom scattering factors, no anomalous dispersion.

Crystal structure
a b c (Å): 4.1393 4.1393 4.9710
angles (deg): 90.00 90.00 120.00
Element x y z (fractional)
Ga  0.0000  0.0000  0.0000
Ni  0.0000  0.0000  0.5000
Ni  0.3333  0.6667  0.2447
Ni  0.3333  0.6667  0.7553
Sb  0.6667  0.3333  0.5000

Principal peaks in the range 5° ≤ 2θ ≤ 70°, by intensity:
2θ/deg  I (rel.)
43.7  100
44.3  85
30.8  57
64.0  27
17.8  27
47.6  12

Please write out number 6 again, unchanged.
Computed powder diffractogram
Compound: LiErUSe4
Radiation: Cu Kα X-rays
Structure: a cell relaxed with PBE
Neutral-atom scattering factors, no anomalous dispersion.

Crystal structure
a b c (Å): 8.2448 8.2448 8.2448
angles (deg): 120.50 119.12 90.34
Element x y z (fractional)
Li  0.3817  0.1317  0.2500
Li  0.6183  0.8683  0.7500
Er  0.0000  0.0000  0.5000
Er  0.0000  0.5000  0.0000
U  0.0000  0.5000  0.5000
U  0.5000  0.5000  0.0000
Se  0.2299  0.7429  0.4870
Se  0.2441  0.2571  0.9870
Se  0.2454  0.2578  0.5124
Se  0.2454  0.7330  0.9876
Se  0.7546  0.2670  0.0124
Se  0.7546  0.7422  0.4876
Se  0.7559  0.7429  0.0130
Se  0.7701  0.2571  0.5130

Principal peaks in the range 5° ≤ 2θ ≤ 70°, by intensity:
2θ/deg  I (rel.)
30.6  100
13.2  83
43.9  76
30.8  49
13.0  48
25.4  42